For SrCaMnWO6, a DFT-relaxed cell (GGA+U, Alexandria) gives the calculated X-ray powder pattern in this record (Cu Kα (λ = 1.5418 Å)).
Peak positions follow from Bragg's law for the DFT cell and can differ from measured ones.

Structural model:
```
SrCaMnWO6
1.0
0.0000 4.0580 4.0580
4.0580 0.0000 4.0580
4.0580 4.0580 0.0000
Sr Ca Mn W O
1 1 1 1 6
Direct
0.0000 0.0000 0.0000
0.5000 0.5000 0.5000
0.2500 0.2500 0.2500
0.7500 0.7500 0.7500
0.5109 0.5109 0.9891
0.5109 0.9891 0.5109
0.5109 0.9891 0.9891
0.9891 0.5109 0.5109
0.9891 0.5109 0.9891
0.9891 0.9891 0.5109
```

Most intense lines, 2θ from 10° to 80°, in order of rising 2θ:
| 2theta | Rel. int. |
| --- | --- |
| 18.94 | 38 |
| 21.90 | 22 |
| 31.17 | 100 |
| 36.73 | 20 |
| 44.66 | 34 |
| 55.46 | 39 |
| 65.00 | 20 |
| 73.85 | 17 |